1.
Simulated X-ray diffraction stick pattern
Compound: AcCd3Au2
Radiation: CuKα
Structure: a cell relaxed with GGA-PBE

a b c (Å): 10.669 10.669 4.494
angles (deg): 90.00 90.00 120.00
Atoms (fractional coordinates):
Ac: 0.000 0.000 0.000
Ac: 0.333 0.667 0.500
Ac: 0.667 0.333 0.500
Cd: 0.000 0.288 0.500
Cd: 0.000 0.500 0.000
Cd: 0.000 0.712 0.500
Cd: 0.288 0.000 0.500
Cd: 0.288 0.288 0.500
Cd: 0.500 0.000 0.000
Cd: 0.500 0.500 0.000
Cd: 0.712 0.000 0.500
Cd: 0.712 0.712 0.500
Au: 0.199 0.397 0.000
Au: 0.199 0.801 0.000
Au: 0.397 0.199 0.000
Au: 0.603 0.801 0.000
Au: 0.801 0.199 0.000
Au: 0.801 0.603 0.000

Top 10 peaks for 5 to 70 degrees two-theta, sorted by position:
25.5 deg, I 13
32.5 deg, I 100
33.6 deg, I 40
35.3 deg, I 67
39.3 deg, I 31
40.1 deg, I 34
42.7 deg, I 17
53.3 deg, I 22
53.6 deg, I 32
60.0 deg, I 17

=====

2.
Simulated X-ray diffraction stick pattern
Compound: LaCdAu
Radiation: CuKα
Structure: a cell relaxed with GGA-PBE

a b c (Å): 4.925 3.662 8.617
angles (deg): 90.00 90.00 90.00
Atoms (fractional coordinates):
La: 0.250 0.000 0.216
La: 0.750 0.000 0.784
Cd: 0.250 0.500 0.580
Cd: 0.750 0.500 0.420
Au: 0.250 0.500 0.909
Au: 0.750 0.500 0.091

Top 10 peaks for 5 to 70 degrees two-theta, sorted by position:
10.3 deg, I 32
24.3 deg, I 18
32.1 deg, I 41
32.2 deg, I 100
36.2 deg, I 73
36.5 deg, I 41
44.1 deg, I 20
49.4 deg, I 25
49.8 deg, I 17
63.1 deg, I 29

=====

3.
Simulated X-ray diffraction stick pattern
Compound: LaDy7Cd2
Radiation: CuKα
Structure: a cell relaxed with GGA-PBE

a b c (Å): 8.835 8.835 5.488
angles (deg): 90.00 90.00 118.42
Atoms (fractional coordinates):
La: 0.000 0.000 0.000
Dy: 0.059 0.303 0.500
Dy: 0.240 0.760 0.000
Dy: 0.303 0.059 0.500
Dy: 0.500 0.500 0.500
Dy: 0.697 0.941 0.500
Dy: 0.760 0.240 0.000
Dy: 0.941 0.697 0.500
Cd: 0.303 0.697 0.500
Cd: 0.697 0.303 0.500

Top 10 peaks for 5 to 70 degrees two-theta, sorted by position:
16.2 deg, I 67
25.5 deg, I 32
28.6 deg, I 79
30.8 deg, I 100
32.6 deg, I 82
34.5 deg, I 90
35.2 deg, I 83
45.5 deg, I 70
55.1 deg, I 25
62.1 deg, I 28

=====

4.
Simulated X-ray diffraction stick pattern
Compound: NaSc2OsO8
Radiation: CuKα
Structure: a cell relaxed with GGA-PBE

a b c (Å): 4.775 6.706 4.830
angles (deg): 90.00 90.76 90.00
Atoms (fractional coordinates):
Na: 0.000 0.000 0.000
Sc: 0.500 0.255 0.500
Sc: 0.500 0.745 0.500
Os: 0.000 0.500 0.000
O: 0.196 0.305 0.815
O: 0.196 0.695 0.815
O: 0.282 0.500 0.291
O: 0.327 0.000 0.347
O: 0.673 0.000 0.653
O: 0.718 0.500 0.709
O: 0.804 0.305 0.185
O: 0.804 0.695 0.185

Top 10 peaks for 5 to 70 degrees two-theta, sorted by position:
13.2 deg, I 100
22.7 deg, I 53
22.9 deg, I 50
26.1 deg, I 61
26.4 deg, I 60
29.6 deg, I 25
32.5 deg, I 42
32.6 deg, I 45
37.6 deg, I 23
50.8 deg, I 21

=====

5.
Simulated X-ray diffraction stick pattern
Compound: LiZn2GePd2
Radiation: CuKα
Structure: a cell relaxed with GGA-PBE

a b c (Å): 4.313 8.174 5.007
angles (deg): 90.00 90.00 90.00
Atoms (fractional coordinates):
Li: 0.000 0.062 0.000
Li: 0.000 0.938 0.500
Zn: 0.000 0.281 0.450
Zn: 0.000 0.719 0.950
Zn: 0.500 0.439 0.249
Zn: 0.500 0.561 0.749
Ge: 0.500 0.212 0.790
Ge: 0.500 0.788 0.290
Pd: 0.000 0.389 0.944
Pd: 0.000 0.611 0.444
Pd: 0.500 0.105 0.302
Pd: 0.500 0.895 0.802

Top 10 peaks for 5 to 70 degrees two-theta, sorted by position:
10.8 deg, I 17
23.3 deg, I 35
35.9 deg, I 17
37.6 deg, I 27
39.1 deg, I 24
41.7 deg, I 60
41.9 deg, I 42
43.2 deg, I 100
57.5 deg, I 15
65.6 deg, I 18

=====

6.
Simulated X-ray diffraction stick pattern
Compound: VS5Cl
Radiation: CuKα
Structure: a cell relaxed with GGA-PBE

a b c (Å): 7.986 7.986 4.987
angles (deg): 103.18 103.18 132.75
Atoms (fractional coordinates):
V: 0.000 0.000 0.000
S: 0.053 0.330 0.134
S: 0.150 0.850 0.000
S: 0.490 0.315 0.249
S: 0.670 0.947 0.866
S: 0.685 0.510 0.751
Cl: 0.005 0.995 0.500

Top 10 peaks for 5 to 70 degrees two-theta, sorted by position:
12.1 deg, I 100
17.9 deg, I 48
19.3 deg, I 77
21.7 deg, I 22
24.9 deg, I 16
26.0 deg, I 19
35.1 deg, I 24
36.3 deg, I 23
37.4 deg, I 46
46.8 deg, I 25

=====

7.
Simulated X-ray diffraction stick pattern
Compound: BaSrPrNbO6
Radiation: CuKα
Structure: a cell relaxed with GGA-PBE

a b c (Å): 6.156 6.156 6.156
angles (deg): 60.00 60.00 60.00
Atoms (fractional coordinates):
Ba: 0.000 0.000 0.000
Sr: 0.500 0.500 0.500
Pr: 0.250 0.250 0.250
Nb: 0.750 0.750 0.750
O: 0.518 0.518 0.982
O: 0.518 0.982 0.518
O: 0.518 0.982 0.982
O: 0.982 0.518 0.518
O: 0.982 0.518 0.982
O: 0.982 0.982 0.518

Top 10 peaks for 5 to 70 degrees two-theta, sorted by position:
17.6 deg, I 3
20.4 deg, I 2
29.0 deg, I 100
34.2 deg, I 3
35.7 deg, I 1
41.5 deg, I 31
45.4 deg, I 2
51.4 deg, I 40
60.1 deg, I 20
68.1 deg, I 18

=====

8.
Simulated X-ray diffraction stick pattern
Compound: Tb2Pa4Ru9
Radiation: CuKα
Structure: a cell relaxed with GGA-PBE

a b c (Å): 4.484 4.484 17.142
angles (deg): 90.00 90.00 120.00
Atoms (fractional coordinates):
Tb: 0.333 0.667 0.255
Tb: 0.667 0.333 0.745
Pa: 0.333 0.667 0.602
Pa: 0.333 0.667 0.901
Pa: 0.667 0.333 0.099
Pa: 0.667 0.333 0.398
Ru: 0.000 0.000 0.000
Ru: 0.000 0.000 0.162
Ru: 0.000 0.000 0.345
Ru: 0.000 0.000 0.655
Ru: 0.000 0.000 0.838
Ru: 0.333 0.667 0.081
Ru: 0.333 0.667 0.430
Ru: 0.667 0.333 0.570
Ru: 0.667 0.333 0.919

Top 10 peaks for 5 to 70 degrees two-theta, sorted by position:
20.7 deg, I 20
27.8 deg, I 51
31.3 deg, I 12
34.9 deg, I 20
39.1 deg, I 69
40.2 deg, I 100
45.7 deg, I 16
51.8 deg, I 18
57.4 deg, I 22
64.4 deg, I 12